Diffraction record for Na5H29I2O24. The X-ray diffraction stick pattern is theoretical, not measured: it uses a DFT-relaxed cell (PBE, the Materials Project) and Cu Kα (λ = 1.5418 Å).
Neutral-atom scattering factors, no anomalous dispersion.

Main lines, in order of falling intensity (10 to 80 degrees two-theta):
- 2θ = 17.0°, intensity 100.0
- 2θ = 11.5°, intensity 91.2
- 2θ = 10.3°, intensity 71.6
- 2θ = 14.0°, intensity 67.5
- 2θ = 11.3°, intensity 51.4
- 2θ = 29.8°, intensity 37.0
- 2θ = 40.0°, intensity 26.3
- 2θ = 30.0°, intensity 23.9

abc: 8.873 8.892 9.140
angles: 117.89 100.10 94.22
Fractional coordinates of all 60 atoms:
1 Na 0.000 0.000 0.000
2 Na 0.126 0.619 0.887
3 Na 0.359 0.350 0.645
4 Na 0.641 0.650 0.355
5 Na 0.874 0.381 0.113
6 H 0.000 0.500 0.000
7 H 0.007 0.641 0.605
8 H 0.055 0.797 0.180
9 H 0.097 0.149 0.626
10 H 0.112 0.819 0.694
11 H 0.154 0.292 0.820
12 H 0.187 0.538 0.146
13 H 0.214 0.925 0.253
14 H 0.222 0.368 0.347
15 H 0.303 0.089 0.927
16 H 0.333 0.547 0.446
17 H 0.339 0.126 0.115
18 H 0.404 0.715 0.813
19 H 0.445 0.709 0.984
20 H 0.447 0.782 0.257
21 H 0.553 0.218 0.743
22 H 0.555 0.291 0.016
23 H 0.596 0.285 0.187
24 H 0.661 0.874 0.885
25 H 0.667 0.453 0.554
26 H 0.697 0.911 0.073
27 H 0.778 0.632 0.653
28 H 0.786 0.075 0.747
29 H 0.813 0.462 0.854
30 H 0.846 0.708 0.180
31 H 0.888 0.181 0.306
32 H 0.903 0.851 0.374
33 H 0.945 0.203 0.820
34 H 0.993 0.359 0.395
35 I 0.406 0.919 0.590
36 I 0.594 0.081 0.410
37 O 0.042 0.743 0.717
38 O 0.115 0.273 0.703
39 O 0.119 0.453 0.036
40 O 0.126 0.863 0.151
41 O 0.206 0.928 0.614
42 O 0.254 0.109 0.021
43 O 0.280 0.453 0.461
44 O 0.373 0.035 0.442
45 O 0.375 0.709 0.391
46 O 0.384 0.642 0.865
47 O 0.471 0.170 0.781
48 O 0.483 0.843 0.737
49 O 0.517 0.157 0.263
50 O 0.529 0.830 0.219
51 O 0.616 0.358 0.135
52 O 0.625 0.291 0.609
53 O 0.627 0.965 0.558
54 O 0.720 0.547 0.539
55 O 0.746 0.891 0.979
56 O 0.794 0.072 0.386
57 O 0.874 0.137 0.849
58 O 0.881 0.547 0.964
59 O 0.885 0.727 0.297
60 O 0.958 0.257 0.283